(1)
For CaBiClO2, a cell relaxed with PBE gives the simulated powder diffractogram in this record (λ = 1.5418 Å (Cu Kα)).

Atomic structure:
abc: 6.5134 4.1715 7.8255
angles: 90.00 104.78 90.00
Atoms (fractional coordinates):
1 Ca 0.1706 0.2500 0.4212
2 Ca 0.8294 0.7500 0.5788
3 Bi 0.1757 0.2500 0.9071
4 Bi 0.8243 0.7500 0.0929
5 Cl 0.4444 0.7500 0.6850
6 Cl 0.5556 0.2500 0.3150
7 O 0.0114 0.7500 0.3572
8 O 0.0291 0.7500 0.9019
9 O 0.9709 0.2500 0.0981
10 O 0.9886 0.2500 0.6428

The 10 most intense peaks (2θ from 10° to 80°), most intense first:
| d [Å] | I/Imax |
| --- | --- |
| 2.800 | 100.0 |
| 3.478 | 82.3 |
| 7.566 | 79.2 |
| 3.344 | 71.5 |
| 6.298 | 50.8 |
| 4.328 | 49.2 |
| 2.930 | 45.9 |
| 2.513 | 39.1 |
| 1.700 | 28.2 |
| 2.086 | 24.1 |


(2)
For YFeGe2, a cell relaxed with PBE gives the simulated powder diffractogram in this record (λ = 1.5418 Å (Cu Kα)).

Atomic structure:
abc: 8.3498 8.3498 4.3178
angles: 90.00 90.00 150.81
Atoms (fractional coordinates):
1 Y 0.1049 0.8951 0.7500
2 Y 0.8951 0.1049 0.2500
3 Fe 0.3136 0.6864 0.7500
4 Fe 0.6864 0.3136 0.2500
5 Ge 0.2519 0.7481 0.2500
6 Ge 0.4551 0.5449 0.7500
7 Ge 0.5449 0.4551 0.2500
8 Ge 0.7481 0.2519 0.7500

The 10 most intense peaks (2θ from 10° to 80°), most intense first:
| d [Å] | I/Imax |
| --- | --- |
| 2.630 | 100.0 |
| 2.159 | 33.8 |
| 2.563 | 31.8 |
| 2.104 | 31.2 |
| 2.285 | 27.3 |
| 1.651 | 24.3 |
| 1.507 | 20.7 |
| 1.831 | 20.1 |
| 1.320 | 19.7 |
| 1.548 | 15.4 |


(3)
For CaCl2, a cell relaxed with PBE gives the simulated powder diffractogram in this record (λ = 1.5418 Å (Cu Kα)).

Atomic structure:
abc: 4.7691 4.7691 4.7691
angles: 60.00 60.00 60.00
Atoms (fractional coordinates):
1 Ca 0.0000 0.0000 0.0000
2 Cl 0.2500 0.2500 0.2500
3 Cl 0.7500 0.7500 0.7500

The 10 most intense peaks (2θ from 10° to 80°), most intense first:
| d [Å] | I/Imax |
| --- | --- |
| 2.385 | 100.0 |
| 3.894 | 37.5 |
| 1.377 | 28.9 |
| 2.034 | 16.7 |
| 1.686 | 15.1 |
| 3.372 | 10.2 |
| 1.547 | 6.4 |
| 1.298 | 4.4 |
| 1.508 | 2.3 |
| 1.947 | 2.0 |


(4)
For UP2C2N2O8, a cell relaxed with PBE gives the simulated powder diffractogram in this record (λ = 1.5418 Å (Cu Kα)).

Atomic structure:
abc: 5.5121 5.5208 10.0493
angles: 75.01 87.95 61.43
Atoms (fractional coordinates):
1 U 0.0000 0.0000 0.0000
2 P 0.2994 0.4451 0.8113
3 P 0.7006 0.5549 0.1887
4 C 0.4078 0.9875 0.4621
5 C 0.5922 0.0125 0.5379
6 N 0.2527 0.9651 0.3964
7 N 0.7473 0.0349 0.6036
8 O 0.1641 0.2505 0.8821
9 O 0.1682 0.7017 0.8820
10 O 0.2659 0.5325 0.6593
11 O 0.3854 0.7434 0.1213
12 O 0.6146 0.2566 0.8787
13 O 0.7341 0.4675 0.3407
14 O 0.8318 0.2983 0.1180
15 O 0.8359 0.7495 0.1179

The 10 most intense peaks (2θ from 10° to 80°), most intense first:
| d [Å] | I/Imax |
| --- | --- |
| 3.940 | 100.0 |
| 4.141 | 46.7 |
| 4.667 | 45.1 |
| 4.822 | 42.9 |
| 2.813 | 27.8 |
| 4.739 | 23.6 |
| 2.756 | 21.3 |
| 3.245 | 20.8 |
| 3.073 | 14.2 |
| 2.072 | 12.9 |


(5)
For Ho2AgOs, a cell relaxed with PBE gives the simulated powder diffractogram in this record (λ = 1.5418 Å (Cu Kα)).

Atomic structure:
abc: 4.9326 4.9326 4.9326
angles: 60.00 60.00 60.00
Atoms (fractional coordinates):
1 Ho 0.2500 0.2500 0.2500
2 Ho 0.7500 0.7500 0.7500
3 Ag 0.0000 0.0000 0.0000
4 Os 0.5000 0.5000 0.5000

The 8 most intense peaks (2θ from 10° to 80°), most intense first:
| d [Å] | I/Imax |
| --- | --- |
| 2.466 | 100.0 |
| 1.424 | 35.8 |
| 1.744 | 17.6 |
| 1.233 | 11.2 |
| 4.027 | 3.1 |
| 2.103 | 1.8 |
| 1.600 | 0.9 |
| 1.342 | 0.7 |


(6)
For Hf2TcIr, a cell relaxed with PBE gives the simulated powder diffractogram in this record (λ = 1.5418 Å (Cu Kα)).

Atomic structure:
abc: 4.6189 4.6189 4.6189
angles: 60.00 60.00 60.00
Atoms (fractional coordinates):
1 Hf 0.2500 0.2500 0.2500
2 Hf 0.7500 0.7500 0.7500
3 Tc 0.0000 0.0000 0.0000
4 Ir 0.5000 0.5000 0.5000

The 8 most intense peaks (2θ from 10° to 80°), most intense first:
| d [Å] | I/Imax |
| --- | --- |
| 2.309 | 100.0 |
| 1.333 | 35.1 |
| 1.633 | 17.3 |
| 3.771 | 4.4 |
| 1.969 | 2.5 |
| 3.266 | 1.2 |
| 1.499 | 1.1 |
| 1.257 | 0.8 |